Diffraction record for Lu5Bi3. The X-ray diffraction stick pattern is computed, not measured: it uses a DFT-relaxed cell (GGA-PBE, the Materials Project) and Cu Kα.
No peak broadening, texture or thermal motion is included.

Structural model:
a = 8.0894 Å, b = 9.4064 Å, c = 11.7746 Å
α = 90.00°, β = 90.00°, γ = 90.00°
Space group Pnma (No. 62)
Unique sites:
Lu 0.0248 0.2500 0.0096 (multiplicity 4)
Lu 0.1453 0.7500 0.2829 (multiplicity 4)
Lu 0.1886 0.2500 0.2810 (multiplicity 4)
Lu 0.1942 0.0647 0.5598 (multiplicity 8)
Bi 0.0667 0.0031 0.8256 (multiplicity 8)
Bi 0.0922 0.7500 0.5430 (multiplicity 4)

Main lines, sorted by position (10° ≤ 2θ ≤ 90°):
2θ/deg, I (rel.), h k l
30.11, 82, 2 2 1
31.53, 39, 1 3 1
31.71, 100, 1 2 3
32.36, 69, 1 0 4
32.93, 95, 2 2 2
38.27, 43, 0 4 0

=====

Diffraction record for Lu6MnBi2. The X-ray diffraction stick pattern is computed, not measured: it uses a DFT-relaxed cell (GGA-PBE, the Materials Project) and Cu Kα.
No peak broadening, texture or thermal motion is included.

Structural model:
a = 8.1320 Å, b = 8.1320 Å, c = 4.2143 Å
α = 90.00°, β = 90.00°, γ = 120.00°
Space group P-62m (No. 189)
Unique sites:
Lu 0.0000 0.2307 0.0000 (multiplicity 3)
Lu 0.0000 0.6123 0.5000 (multiplicity 3)
Mn 0.0000 0.0000 0.5000 (multiplicity 1)
Bi 0.3333 0.6667 0.0000 (multiplicity 2)

Main lines, sorted by position (10° ≤ 2θ ≤ 90°):
2θ/deg, I (rel.), h k l
30.55, 100, 1 1 1
33.15, 49, 2 0 1
33.67, 53, 2 1 0
38.34, 30, 3 0 0
40.07, 33, 2 1 1
55.63, 26, 2 1 2

=====

Diffraction record for LuBiO3. The X-ray diffraction stick pattern is computed, not measured: it uses a DFT-relaxed cell (GGA-PBE, the Materials Project) and Cu Kα.
No peak broadening, texture or thermal motion is included.

Structural model:
a = 5.8933 Å, b = 5.8933 Å, c = 15.2197 Å
α = 90.00°, β = 90.00°, γ = 120.00°
Space group R-3 (No. 148, hexagonal axes)
Unique sites:
Lu 0.0000 0.0000 0.1452 (multiplicity 6)
Bi 0.0000 0.0000 0.3588 (multiplicity 6)
O 0.0316 0.2989 0.7521 (multiplicity 18)

Main lines, sorted by position (10° ≤ 2θ ≤ 90°):
2θ/deg, I (rel.), h k l
29.28, 94, 1 0 4
30.33, 100, 1 1 0
42.66, 40, 0 2 4
47.28, 31, 1 1 6
53.24, 40, 2 1 4
53.89, 27, 3 0 0

=====

Diffraction record for LuBiO3. The X-ray diffraction stick pattern is computed, not measured: it uses a DFT-relaxed cell (GGA-PBE, the Materials Project) and Cu Kα.
No peak broadening, texture or thermal motion is included.

Structural model:
a = 5.9238 Å, b = 5.9238 Å, c = 14.9547 Å
α = 90.00°, β = 90.00°, γ = 120.00°
Space group R3c (No. 161, hexagonal axes)
Unique sites:
Lu 0.0000 0.0000 0.0000 (multiplicity 6)
Bi 0.0000 0.0000 0.2146 (multiplicity 6)
O 0.0326 0.4122 0.2715 (multiplicity 18)

Main lines, sorted by position (10° ≤ 2θ ≤ 90°):
2θ/deg, I (rel.), h k l
29.56, 91, 1 0 4
30.17, 100, 1 1 0
42.75, 40, 0 2 4
47.69, 29, 1 1 6
53.21, 40, 2 1 4
53.59, 26, 3 0 0

=====

Diffraction record for Lu3BiRu4O14. The X-ray diffraction stick pattern is computed, not measured: it uses a DFT-relaxed cell (GGA-PBE, the Materials Project) and Cu Kα.
No peak broadening, texture or thermal motion is included.

Structural model:
a = 7.1974 Å, b = 7.1974 Å, c = 17.6020 Å
α = 90.00°, β = 90.00°, γ = 120.00°
Space group R-3m (No. 166, hexagonal axes)
Unique sites:
Lu 0.0000 0.5000 0.0000 (multiplicity 9)
Bi 0.0000 0.0000 0.5000 (multiplicity 3)
Ru 0.0000 0.0000 0.0000 (multiplicity 3)
Ru 0.0000 0.5000 0.5000 (multiplicity 9)
O 0.0000 0.0000 0.3689 (multiplicity 6)
O 0.0490 0.5245 0.6127 (multiplicity 18)
O 0.0543 0.5271 0.8634 (multiplicity 18)

Main lines, sorted by position (10° ≤ 2θ ≤ 90°):
2θ/deg, I (rel.), h k l
30.44, 100, 0 0 6
35.29, 34, 0 2 4
50.77, 46, 2 0 8
60.35, 43, 2 2 6
82.67, 13, 4 2 2
85.34, 14, 2 4 4

=====

Diffraction record for LuBiPd2. The X-ray diffraction stick pattern is computed, not measured: it uses a DFT-relaxed cell (GGA-PBE, the Materials Project) and Cu Kα.
No peak broadening, texture or thermal motion is included.

Structural model:
a = 6.8770 Å, b = 6.8770 Å, c = 6.8770 Å
α = 90.00°, β = 90.00°, γ = 90.00°
Space group Fm-3m (No. 225)
Unique sites:
Lu 0.0000 0.0000 0.0000 (multiplicity 4)
Bi 0.0000 0.0000 0.5000 (multiplicity 4)
Pd 0.2500 0.2500 0.2500 (multiplicity 8)

Main lines, sorted by position (10° ≤ 2θ ≤ 90°):
2θ/deg, I (rel.), h k l
25.91, 9, 2 0 0
36.97, 100, 2 2 0
53.28, 18, 4 0 0
60.18, 4, 4 2 0
66.62, 36, 4 2 2
78.71, 11, 4 4 0

=====

Diffraction record for Lu5BiPd2. The X-ray diffraction stick pattern is computed, not measured: it uses a DFT-relaxed cell (GGA-PBE, the Materials Project) and Cu Kα.
No peak broadening, texture or thermal motion is included.

Structural model:
a = 7.6085 Å, b = 7.6085 Å, c = 13.7331 Å
α = 90.00°, β = 90.00°, γ = 90.00°
Space group I4/mcm (No. 140)
Unique sites:
Lu 0.0000 0.0000 0.0000 (multiplicity 4)
Lu 0.1560 0.3440 0.1392 (multiplicity 16)
Bi 0.0000 0.0000 0.2500 (multiplicity 4)
Pd 0.1380 0.3620 0.5000 (multiplicity 8)

Main lines, sorted by position (10° ≤ 2θ ≤ 90°):
2θ/deg, I (rel.), h k l
30.90, 36, 1 1 4
32.80, 100, 2 1 3
35.21, 37, 2 0 4
37.38, 69, 3 1 0
53.91, 20, 4 2 0
66.96, 20, 3 1 8

=====

Diffraction record for LuBiTe3. The X-ray diffraction stick pattern is computed, not measured: it uses a DFT-relaxed cell (GGA-PBE, the Materials Project) and Cu Kα.
No peak broadening, texture or thermal motion is included.

Structural model:
a = 4.3691 Å, b = 4.3691 Å, c = 31.8205 Å
α = 90.00°, β = 90.00°, γ = 120.00°
Space group R3m (No. 160, hexagonal axes)
Unique sites:
Lu 0.0000 0.0000 0.0000 (multiplicity 3)
Bi 0.0000 0.0000 0.7954 (multiplicity 3)
Te 0.0000 0.0000 0.1826 (multiplicity 3)
Te 0.0000 0.0000 0.3927 (multiplicity 3)
Te 0.0000 0.0000 0.6174 (multiplicity 3)

Main lines, sorted by position (10° ≤ 2θ ≤ 90°):
2θ/deg, I (rel.), h k l
16.72, 13, 0 0 6
27.42, 100, 0 1 5
36.91, 33, 1 0 10
41.33, 37, 1 1 0
50.32, 19, 2 0 5
67.08, 16, 1 2 5